Record 1
For La3YSb3, a structure optimized by DFT (GGA-PBE) gives the computed powder XRD pattern in this record (Cu Kα).
No peak broadening, texture or thermal motion is included.

Largest 10 diffraction maxima, in order of falling intensity, 5 to 70 degrees two-theta:
29.5 deg, rel. 100
35.0 deg, rel. 45
29.5 deg, rel. 39
35.1 deg, rel. 37
59.4 deg, rel. 14
42.2 deg, rel. 12
46.3 deg, rel. 11
48.4 deg, rel. 10
48.5 deg, rel. 10
61.2 deg, rel. 10

Crystal structure
```
14
Lattice="6.7451 -4.7915 0.0000 6.7451 4.7915 0.0000 -6.7301 0.0000 6.8000" Properties=species:S:1:pos:R:3 pbc="T T T"
La -1.7154 0.0000 2.6467
La 2.6709 -1.0556 1.7171
La -1.6870 -2.4651 6.0992
La 4.0891 -1.0556 5.0829
La 8.4754 0.0000 4.1533
La 8.4470 -2.4651 0.7008
Y 0.7622 1.3253 5.0838
Y 5.9978 1.3253 1.7161
Sb 6.7451 4.1350 0.0000
Sb -2.3944 0.6672 5.9797
Sb 3.3800 1.8648 3.4000
Sb 0.7924 -1.6933 4.2287
Sb 9.1543 0.6672 0.8203
Sb 5.9676 -1.6933 2.5712
```

Record 2
For La2YSb2, a structure optimized by DFT (GGA-PBE) gives the computed powder XRD pattern in this record (Cu Kα).
No peak broadening, texture or thermal motion is included.

Largest 10 diffraction maxima, in order of falling intensity, 5 to 70 degrees two-theta:
31.1 deg, rel. 100
33.5 deg, rel. 37
62.8 deg, rel. 26
53.8 deg, rel. 19
40.7 deg, rel. 14
49.0 deg, rel. 13
68.2 deg, rel. 10
45.5 deg, rel. 8
42.8 deg, rel. 6
14.8 deg, rel. 6

Crystal structure
```
10
Lattice="8.4495 0.0000 0.0000 0.0000 8.4495 0.0000 0.0000 0.0000 4.4287" Properties=species:S:1:pos:R:3 pbc="T T T"
La 1.2953 2.9295 0.0000
La 2.9295 7.1542 0.0000
La 5.5200 1.2953 0.0000
La 7.1542 5.5200 0.0000
Y 0.0000 0.0000 2.2144
Y 4.2247 4.2247 2.2144
Sb 1.2791 5.5039 2.2144
Sb 2.9456 1.2791 2.2144
Sb 5.5039 7.1704 2.2144
Sb 7.1704 2.9456 2.2144
```